Simulated XRD peak list of TaAg7S6 for Cu Kα X-rays, from a cell relaxed with PBE.
Kinematic intensities with the Lorentz-polarization factor, no thermal factor.

Largest 12 diffraction maxima, by angle, 10 to 90 degrees two-theta:
hkl 1 0 0, 6.275 Å, 2θ 14.1, I = 64; hkl 0 0 2, 5.346 Å, 2θ 16.6, I = 49; hkl 1 2 -1, 3.353 Å, 2θ 26.6, I = 43; hkl 1 0 -4, 3.214 Å, 2θ 27.8, I = 49; hkl 1 2 -2, 3.195 Å, 2θ 27.9, I = 100; hkl 2 0 0, 3.137 Å, 2θ 28.4, I = 70; hkl 0 2 2, 3.053 Å, 2θ 29.3, I = 53; hkl 1 1 -4, 2.953 Å, 2θ 30.3, I = 69; hkl 2 1 0, 2.891 Å, 2θ 30.9, I = 62; hkl 3 0 -4, 2.492 Å, 2θ 36.0, I = 70; hkl 1 2 2, 2.444 Å, 2θ 36.8, I = 49; hkl 1 3 -3, 2.160 Å, 2θ 41.8, I = 61

Crystal structure
abc: 7.706 7.447 13.098
angles: 90.00 125.49 90.00
Space group Pc (No. 7)
Symmetry-distinct sites (fractional):
Ta  0.000  0.248  0.000 x2
Ag  0.010  0.212  0.467 x2
Ag  0.095  0.413  0.299 x2
Ag  0.471  0.070  0.042 x2
Ag  0.550  0.147  0.345 x2
Ag  0.633  0.380  0.709 x2
Ag  0.735  0.460  0.517 x2
Ag  0.941  0.030  0.233 x2
S  0.118  0.248  0.873 x2
S  0.138  0.496  0.622 x2
S  0.159  0.012  0.142 x2
S  0.445  0.259  0.486 x2
S  0.631  0.239  0.885 x2
S  0.713  0.271  0.235 x2